Co3P2H16O16: theoretical powder X-ray diffraction pattern (copper Kα), based on a PBE+U-relaxed structure.
Kinematic intensities with the Lorentz-polarization factor, no thermal factor.

Structural model:
```
data_Co3P2H16O16
_cell_length_a 10.175
_cell_length_b 13.364
_cell_length_c 4.721
_cell_angle_alpha 90.00
_cell_angle_beta 105.52
_cell_angle_gamma 90.00
_space_group_name_H-M_alt 'C 1 2/m 1'
_space_group_IT_number 12
loop_
_space_group_symop_operation_xyz
'x,y,z'
'-x,-y,-z'
'-x,y,-z'
'x,-y,z'
'x+1/2,y+1/2,z'
'-x+1/2,-y+1/2,-z'
'-x+1/2,y+1/2,-z'
'x+1/2,-y+1/2,z'
loop_
_atom_site_label
_atom_site_type_symbol
_atom_site_fract_x
_atom_site_fract_y
_atom_site_fract_z
Co1 Co 0.000 0.000 0.000
Co2 Co 0.000 0.390 0.000
P1 P 0.187 0.500 0.617
H1 H 0.032 0.219 0.281
H2 H 0.123 0.304 0.487
H3 H 0.125 0.081 0.639
H4 H 0.189 0.125 0.958
O1 O 0.096 0.276 0.286
O2 O 0.100 0.115 0.807
O3 O 0.105 0.500 0.289
O4 O 0.157 0.000 0.380
O5 O 0.159 0.402 0.772
```

Largest 10 diffraction maxima, in order of rising 2θ, 2θ from 15° to 90°:
d/Å  intensity
4.902  100
4.549  46
3.894  74
3.209  86
2.994  53
2.962  77
2.708  71
2.693  57
2.533  62
2.449  63